For Th6CI15, DFT lattice parameters and positions (PBE) gives the theoretical powder diffractogram in this record (λ = 1.5418 Å (Cu Kα)).

Structural model:
Cell: 12.1813 12.1813 12.1813 Å, 90.00 90.00 90.00°
Space group Im-3m (No. 229)
Asymmetric unit:
Th  0.0000  0.0000  0.2213 (multiplicity 12)
C  0.0000  0.0000  0.0000 (multiplicity 2)
I  0.0000  0.0000  0.5000 (multiplicity 6)
I  0.0000  0.2537  0.2537 (multiplicity 24)

Top 6 peaks for 10 to 90 degrees two-theta, by intensity:
| Position (°2θ) | intensity |
| --- | --- |
| 29.3 | 100.0 |
| 42.0 | 70.2 |
| 27.4 | 48.3 |
| 10.3 | 48.0 |
| 34.5 | 29.9 |
| 69.0 | 26.2 |